Diffraction record for NiBiSe2O8. The X-ray diffraction stick pattern is computed, not measured: it uses a DFT-relaxed cell (PBE+U, Alexandria) and λ = 1.5418 Å (Cu Kα).
Peak positions follow from Bragg's law for the DFT cell and can differ from measured ones.

Top 10 peaks for 2θ from 10° to 90°, low angle first:
| 2θ (°) | intensity | h k l |
| --- | --- | --- |
| 13.34 | 39 | 0 0 1 |
| 18.25 | 81 | 1 0 0 |
| 22.67 | 92 | 0 1 1 |
| 31.89 | 100 | 1 1 0 |
| 32.68 | 97 | 0 1 2 |
| 34.70 | 35 | 1 1 1 |
| 46.30 | 55 | 2 0 2 |
| 51.62 | 23 | 1 2 1 |
| 57.32 | 45 | 1 2 2 |
| 65.34 | 24 | 1 1 4 |

Structure:
Lattice parameters (Å, degrees): 5.6133 5.6133 6.6364 90.00 90.00 120.00
Space group P-3m1 (No. 164)
Unique sites:
Ni 0.0000 0.0000 0.0000
Bi 0.0000 0.0000 0.5000
Se 0.3333 0.6667 0.7289
O 0.1572 0.3143 0.7878
O 0.3333 0.6667 0.4788